# BiRu
Simulated powder diffraction line list, Cu Kα. Input: a PBE-relaxed structure.
Peak positions follow from Bragg's law for the DFT cell and can differ from measured ones.

Structural model:
Lattice parameters (Å, degrees): 3.121 4.259 7.721 90.70 90.44 111.48
Atoms (fractional coordinates):
Bi1 0.000 0.000 0.000
Bi2 0.247 0.515 0.408
Ru1 0.697 0.403 0.765
Ru2 0.969 0.952 0.630

Top 10 peaks for 2θ from 5° to 70°, low angle first:
25.09 deg, I 70; 25.43 deg, I 100; 30.80 deg, I 80; 32.11 deg, I 74; 32.81 deg, I 61; 32.97 deg, I 88; 34.87 deg, I 51; 38.79 deg, I 70; 39.07 deg, I 69; 44.96 deg, I 73